For CaAsW2O4, the PBE+U geometry in Alexandria gives the simulated PXRD pattern in this record (copper Kα).
Intensities are scaled so that the largest is 100.

Structure:
Cell: 10.864 10.864 5.134 Å, 97.01 97.01 147.19°
Element x y z (fractional)
Ca1 0.194 0.806 0.500
Ca2 0.806 0.194 0.000
As1 0.328 0.670 0.999
As2 0.670 0.328 0.499
W1 0.201 0.250 0.782
W2 0.250 0.201 0.282
W3 0.748 0.797 0.225
W4 0.797 0.748 0.725
O1 0.116 0.366 0.811
O2 0.189 0.627 0.196
O3 0.366 0.116 0.311
O4 0.373 0.805 0.789
O5 0.627 0.189 0.696
O6 0.632 0.883 0.196
O7 0.805 0.373 0.289
O8 0.883 0.632 0.696

Main lines, by angle (2θ = 10–90°):
d 5.211, 17.02°, intensity 100; d 3.884, 22.90°, intensity 59; d 3.472, 25.66°, intensity 62; d 2.674, 33.51°, intensity 100; d 2.513, 35.73°, intensity 50; d 2.260, 39.90°, intensity 49; d 2.076, 43.60°, intensity 40; d 1.828, 49.89°, intensity 37